Theoretical X-ray diffraction stick pattern
Compound: MnNb2Ge2
Radiation: Cu Kα, 1.54184 Å
Structure: a structure optimized by DFT (PBE)
Intensities are scaled so that the largest is 1000.

Structure:
Cell: 7.3684 7.3684 5.4429 Å, 90.00 90.00 146.41°
Fractional coordinates of all 10 atoms:
Mn (0.1022, 0.8978, 0.5000)
Mn (0.8978, 0.1022, 0.0000)
Nb (0.3022, 0.6978, 0.5920)
Nb (0.4977, 0.5023, 0.8001)
Nb (0.5023, 0.4977, 0.3001)
Nb (0.6978, 0.3022, 0.0920)
Ge (0.0786, 0.9214, 0.0321)
Ge (0.3202, 0.6798, 0.0911)
Ge (0.6798, 0.3202, 0.5911)
Ge (0.9214, 0.0786, 0.5321)

Most intense lines, 2θ from 15° to 90°, sorted by position:
| 2theta | intensity |
| --- | --- |
| 35.35 | 261 |
| 38.27 | 1000 |
| 39.83 | 329 |
| 42.46 | 427 |
| 43.93 | 540 |
| 78.73 | 218 |